# 1
Theoretical PXRD pattern of Sr4Ni3 for Cu Kα X-rays, from a cell relaxed with GGA-PBE.
Lines closer than 0.1° are merged.

Structure:
a = 5.7157 Å, b = 5.7157 Å, c = 6.6258 Å
α = 90.00°, β = 90.00°, γ = 120.00°
Space group P6/mmm (No. 191)
Unique sites:
Sr (0.0000, 0.0000, 0.2214) [2 per cell]
Sr (0.3333, 0.6667, 0.5000) [2 per cell]
Ni (0.0000, 0.5000, 0.0000) [3 per cell]

Main lines, in order of rising 2θ (2θ = 15–90°):
31.30 deg, rel. 45
32.52 deg, rel. 100
34.17 deg, rel. 38
36.30 deg, rel. 29
38.84 deg, rel. 60
52.35 deg, rel. 27
55.75 deg, rel. 16
56.49 deg, rel. 40
65.30 deg, rel. 20
74.87 deg, rel. 17


# 2
Theoretical PXRD pattern of HfNp5P6 for Cu Kα X-rays, from a cell relaxed with GGA-PBE.
Lines closer than 0.1° are merged.

Structure:
a = 6.7586 Å, b = 11.7557 Å, c = 6.7543 Å
α = 90.00°, β = 109.67°, γ = 90.00°
Space group C2/m (No. 12)
Unique sites:
Hf (0.0000, 0.0000, 0.0000) [2 per cell]
Np (0.0000, 0.1690, 0.5000) [4 per cell]
Np (0.0000, 0.3347, 0.0000) [4 per cell]
Np (0.0000, 0.5000, 0.5000) [2 per cell]
P (0.2410, 0.0000, 0.7537) [4 per cell]
P (0.2424, 0.1629, 0.2418) [8 per cell]

Main lines, in order of rising 2θ (2θ = 15–90°):
27.92 deg, rel. 55
28.05 deg, rel. 54
32.42 deg, rel. 100
46.34 deg, rel. 12
46.51 deg, rel. 49
55.07 deg, rel. 27
55.23 deg, rel. 18
57.69 deg, rel. 13
57.98 deg, rel. 13
77.25 deg, rel. 23


# 3
Theoretical PXRD pattern of SrPmC3N6 for Cu Kα X-rays, from a cell relaxed with GGA-PBE.
Lines closer than 0.1° are merged.

Structure:
a = 6.6986 Å, b = 6.6986 Å, c = 14.9222 Å
α = 90.00°, β = 90.00°, γ = 120.00°
Space group R-3 (No. 148, hexagonal axes)
Unique sites:
Sr (0.0000, 0.0000, 0.0000) [3 per cell]
Pm (0.0000, 0.0000, 0.5000) [3 per cell]
C (0.0000, 0.5000, 0.0000) [9 per cell]
N (0.0290, 0.7340, 0.3951) [18 per cell]

Main lines, in order of rising 2θ (2θ = 15–90°):
16.39 deg, rel. 25
19.38 deg, rel. 100
26.61 deg, rel. 33
28.45 deg, rel. 36
33.14 deg, rel. 42
39.35 deg, rel. 26
43.00 deg, rel. 25
45.42 deg, rel. 28
46.99 deg, rel. 15
48.14 deg, rel. 22


# 4
Theoretical PXRD pattern of SrFe2HgB for Cu Kα X-rays, from a cell relaxed with GGA-PBE.
Lines closer than 0.1° are merged.

Structure:
a = 4.3399 Å, b = 4.3399 Å, c = 4.6081 Å
α = 90.00°, β = 90.00°, γ = 90.00°
Space group P4/mmm (No. 123)
Unique sites:
Sr (0.0000, 0.0000, 0.0000) [1 per cell]
Fe (0.0000, 0.5000, 0.5000) [2 per cell]
Hg (0.5000, 0.5000, 0.0000) [1 per cell]
B (0.5000, 0.5000, 0.5000) [1 per cell]

Main lines, in order of rising 2θ (2θ = 15–90°):
19.26 deg, rel. 17
20.46 deg, rel. 17
29.10 deg, rel. 16
35.13 deg, rel. 100
39.10 deg, rel. 20
41.62 deg, rel. 34
58.42 deg, rel. 24
60.32 deg, rel. 12
68.30 deg, rel. 17
71.76 deg, rel. 24